The following is a simulated powder diffractogram of LiCoSiMo. It was derived from a GGA-PBE-relaxed structure, using a wavelength of 1.5418 Å.
No peak broadening, texture or thermal motion is included.

Largest 6 diffraction maxima, sorted by position, 2θ = 10–90°:
hkl, d_spacing, I_rel
2 0 0, 2.898, 592
2 2 0, 2.049, 1000
2 2 2, 1.673, 145
4 0 0, 1.449, 156
4 2 0, 1.296, 177
4 2 2, 1.183, 318

Crystal structure
```
data_LiCoSiMo
_cell_length_a 5.797
_cell_length_b 5.797
_cell_length_c 5.797
_cell_angle_alpha 90.00
_cell_angle_beta 90.00
_cell_angle_gamma 90.00
_symmetry_space_group_name_H-M 'P 1'
_symmetry_Int_Tables_number 1
_symmetry_space_group_name_Hall 'P 1'
loop_
_atom_site_label
_atom_site_fract_x
_atom_site_fract_y
_atom_site_fract_z
Li1 0.000 0.000 0.000
Li2 0.000 0.500 0.500
Li3 0.500 0.000 0.500
Li4 0.500 0.500 0.000
Co1 0.250 0.250 0.750
Co2 0.250 0.750 0.250
Co3 0.750 0.250 0.250
Co4 0.750 0.750 0.750
Si1 0.000 0.000 0.500
Si2 0.000 0.500 0.000
Si3 0.500 0.000 0.000
Si4 0.500 0.500 0.500
Mo1 0.250 0.250 0.250
Mo2 0.250 0.750 0.750
Mo3 0.750 0.250 0.750
Mo4 0.750 0.750 0.250
```